(1)
For Mg2GaMo3S8, a structure optimized by DFT (GGA-PBE) gives the computed powder diffractogram in this record (Cu Kα (λ = 1.5418 Å)).

Main lines, by angle (15 to 90 degrees two-theta):
two_theta  d [Å]  Rel. int.  h k l
28.21  3.163  92.2  0 2 1
34.18  2.623  100.0  0 2 4
44.84  2.021  15.6  0 2 7
44.90  2.019  32.7  0 3 3
49.06  1.857  45.4  2 0 8
49.18  1.853  45.0  2 2 0
61.25  1.513  15.5  4 0 4
72.00  1.312  13.1  0 4 8
82.08  1.174  12.9  2 2 12
82.26  1.172  12.8  2 4 4

Structure:
```
data_Mg2GaMo3S8
_symmetry_space_group_name_H-M 'R -3 m'
_symmetry_Int_Tables_number 166
_symmetry_space_group_name_Hall '-R 3 2"'
_cell_length_a 7.4106
_cell_length_b 7.4106
_cell_length_c 18.2159
_cell_angle_alpha 90.00
_cell_angle_beta 90.00
_cell_angle_gamma 120.00
loop_
_atom_site_label
_atom_site_type_symbol
_atom_site_fract_x
_atom_site_fract_y
_atom_site_fract_z
Mg1 Mg 0.0000 0.0000 0.1232
Ga1 Ga 0.0000 0.0000 0.5000
Mo1 Mo 0.0000 0.5000 0.0000
S1 S 0.0000 0.0000 0.2602
S2 S 0.0301 0.5151 0.2544
```

(2)
For HfCo4Ge2, a structure optimized by DFT (GGA-PBE) gives the computed powder diffractogram in this record (Cu Kα (λ = 1.5418 Å)).

Main lines, by angle (15 to 90 degrees two-theta):
two_theta  d [Å]  Rel. int.  h k l
27.11  3.290  20.4  1 0 1
36.07  2.490  28.0  2 2 0
37.41  2.404  100.0  2 1 1
40.50  2.227  38.7  3 1 0
43.74  2.070  24.1  2 2 1
47.58  1.911  40.2  3 1 1
48.97  1.860  26.1  0 0 2
59.55  1.553  14.3  4 1 1
65.36  1.428  18.2  3 1 2
71.63  1.317  20.0  4 3 1

Structure:
```
data_HfCo4Ge2
_symmetry_space_group_name_H-M 'P 42/m n m'
_symmetry_Int_Tables_number 136
_symmetry_space_group_name_Hall '-P 4n 2n'
_cell_length_a 7.044
_cell_length_b 7.044
_cell_length_c 3.720
_cell_angle_alpha 90.00
_cell_angle_beta 90.00
_cell_angle_gamma 90.00
loop_
_atom_site_label
_atom_site_type_symbol
_atom_site_fract_x
_atom_site_fract_y
_atom_site_fract_z
Hf1 Hf 0.000 0.000 0.000
Co1 Co 0.087 0.352 0.500
Ge1 Ge 0.218 0.782 0.500
```